No. 1
This entry pairs a crystal structure of BaZrNi2 with its theoretical powder diffractogram. Radiation: Cu Ka. Structure: the PBE geometry in Alexandria.

The 12 most intense peaks (10 to 80 degrees two-theta), in order of rising 2θ:
| Position (°2θ) | d [Å] | Rel. int. | index |
| --- | --- | --- | --- |
| 15.11 | 5.865 | 19 | 0 0 1 |
| 23.85 | 3.731 | 21 | 1 1 0 |
| 25.43 | 3.503 | 41 | 2 0 0 |
| 30.48 | 2.933 | 47 | 0 0 2 |
| 31.01 | 2.884 | 100 | 2 0 -2 |
| 34.66 | 2.588 | 34 | 2 0 1 |
| 40.94 | 2.204 | 94 | 0 2 0 |
| 51.85 | 1.763 | 41 | 3 1 1 |
| 51.96 | 1.760 | 20 | 3 1 -3 |
| 52.27 | 1.750 | 15 | 2 2 -2 |
| 57.65 | 1.599 | 21 | 1 1 3 |
| 74.56 | 1.273 | 15 | 6 0 -2 |

Cell and atoms:
```
data_BaZrNi2
_cell_length_a 7.6369
_cell_length_b 4.4087
_cell_length_c 6.3865
_cell_angle_alpha 90.00
_cell_angle_beta 113.31
_cell_angle_gamma 90.00
_space_group_name_H-M_alt 'C 1 2/m 1'
_space_group_IT_number 12
loop_
_space_group_symop_operation_xyz
'x,y,z'
'-x,-y,-z'
'-x,y,-z'
'x,-y,z'
'x+1/2,y+1/2,z'
'-x+1/2,-y+1/2,-z'
'-x+1/2,y+1/2,-z'
'x+1/2,-y+1/2,z'
loop_
_atom_site_label
_atom_site_type_symbol
_atom_site_fract_x
_atom_site_fract_y
_atom_site_fract_z
Ba1 Ba 0.0000 0.0000 0.0000
Zr1 Zr 0.0000 0.5000 0.5000
Ni1 Ni 0.1947 0.0000 0.5844
```



No. 2
This entry pairs a crystal structure of BaNp2O6 with its theoretical powder diffractogram. Radiation: Cu Ka. Structure: the PBE geometry in Alexandria.

The 12 most intense peaks (10 to 80 degrees two-theta), in order of rising 2θ:
| Position (°2θ) | d [Å] | Rel. int. | index |
| --- | --- | --- | --- |
| 16.18 | 5.477 | 39 | 0 0 1 |
| 23.77 | 3.743 | 100 | 1 0 1 |
| 30.18 | 2.961 | 60 | 1 1 0 |
| 32.70 | 2.738 | 14 | 0 0 2 |
| 34.43 | 2.605 | 30 | 2 -1 1 |
| 38.78 | 2.322 | 26 | 2 0 1 |
| 45.10 | 2.010 | 55 | 2 -1 2 |
| 49.91 | 1.827 | 28 | 3 -1 1 |
| 53.61 | 1.709 | 18 | 3 0 0 |
| 64.23 | 1.450 | 15 | 3 0 2 |
| 68.11 | 1.377 | 11 | 3 1 1 |
| 72.60 | 1.302 | 13 | 2 2 2 |

Cell and atoms:
```
data_BaNp2O6
_cell_length_a 5.9216
_cell_length_b 5.9216
_cell_length_c 5.4769
_cell_angle_alpha 90.00
_cell_angle_beta 90.00
_cell_angle_gamma 120.00
_space_group_name_H-M_alt 'P -3 1 m'
_space_group_IT_number 162
_space_group_name_Hall '-P 3 2'
loop_
_atom_site_label
_atom_site_type_symbol
_atom_site_fract_x
_atom_site_fract_y
_atom_site_fract_z
Ba1 Ba 0.0000 0.0000 0.0000
Np1 Np 0.3333 0.6667 0.5000
O1 O 0.0000 0.3772 0.6987
```



No. 3
This entry pairs a crystal structure of Ba3NpO7 with its theoretical powder diffractogram. Radiation: Cu Ka. Structure: the PBE geometry in Alexandria.

The 12 most intense peaks (10 to 80 degrees two-theta), in order of rising 2θ:
| Position (°2θ) | d [Å] | Rel. int. | index |
| --- | --- | --- | --- |
| 15.97 | 5.551 | 24 | 1 1 0 |
| 24.19 | 3.680 | 61 | 2 0 0 |
| 26.10 | 3.414 | 100 | 0 2 1 |
| 27.14 | 3.286 | 49 | 2 0 -2 |
| 29.53 | 3.025 | 55 | 2 2 -1 |
| 30.91 | 2.893 | 27 | 0 0 2 |
| 41.38 | 2.182 | 34 | 2 2 1 |
| 41.73 | 2.164 | 18 | 4 0 -2 |
| 45.11 | 2.010 | 26 | 2 2 -3 |
| 48.20 | 1.888 | 20 | 4 2 -1 |
| 49.74 | 1.833 | 15 | 2 4 0 |
| 51.54 | 1.773 | 16 | 4 2 -3 |

Cell and atoms:
```
data_Ba3NpO7
_cell_length_a 8.7181
_cell_length_b 8.4552
_cell_length_c 6.8550
_cell_angle_alpha 90.00
_cell_angle_beta 122.42
_cell_angle_gamma 90.00
_space_group_name_H-M_alt 'C 1 m 1'
_space_group_IT_number 8
loop_
_space_group_symop_operation_xyz
'x,y,z'
'x,-y,z'
'x+1/2,y+1/2,z'
'x+1/2,-y+1/2,z'
loop_
_atom_site_label
_atom_site_type_symbol
_atom_site_fract_x
_atom_site_fract_y
_atom_site_fract_z
Ba1 Ba 0.0000 0.0000 0.0000
Ba2 Ba 0.0034 0.2796 0.5077
Np1 Np 0.4980 0.0000 0.0031
O1 O 0.1401 0.3179 0.2217
O2 O 0.1510 0.5000 0.8535
O3 O 0.3496 0.1711 0.7734
O4 O 0.3509 0.0000 0.1586
O5 O 0.4641 0.5000 0.6069
```



No. 4
This entry pairs a crystal structure of Ba3Np2O9 with its theoretical powder diffractogram. Radiation: Cu Ka. Structure: the PBE geometry in Alexandria.

The 12 most intense peaks (10 to 80 degrees two-theta), in order of rising 2θ:
| Position (°2θ) | d [Å] | Rel. int. | index |
| --- | --- | --- | --- |
| 16.66 | 5.321 | 49 | 1 1 0 |
| 24.92 | 3.573 | 41 | 1 1 3 |
| 26.47 | 3.367 | 32 | 1 0 4 |
| 29.06 | 3.072 | 100 | 3 0 0 |
| 31.44 | 2.845 | 21 | 0 2 4 |
| 35.79 | 2.509 | 29 | 2 1 4 |
| 38.65 | 2.330 | 31 | 2 2 3 |
| 41.10 | 2.196 | 28 | 1 1 6 |
| 51.12 | 1.787 | 21 | 2 2 6 |
| 51.52 | 1.774 | 21 | 3 3 0 |
| 59.89 | 1.545 | 19 | 4 1 6 |
| 60.24 | 1.536 | 19 | 6 0 0 |

Cell and atoms:
```
data_Ba3Np2O9
_cell_length_a 10.6429
_cell_length_b 10.6429
_cell_length_c 14.4671
_cell_angle_alpha 90.00
_cell_angle_beta 90.00
_cell_angle_gamma 120.00
_space_group_name_H-M_alt 'R -3 c'
_space_group_IT_number 167
_space_group_name_Hall '-R 3 2"c'
loop_
_atom_site_label
_atom_site_type_symbol
_atom_site_fract_x
_atom_site_fract_y
_atom_site_fract_z
Ba1 Ba 0.9997 0.3333 0.0833
Np1 Np 0.0000 0.0000 0.1437
O1 O 0.0000 0.1485 0.2500
O2 O 0.0056 0.1727 0.9142
```



No. 5
This entry pairs a crystal structure of BaNpOs2O8 with its theoretical powder diffractogram. Radiation: Cu Ka. Structure: the PBE geometry in Alexandria.

The 12 most intense peaks (10 to 80 degrees two-theta), in order of rising 2θ:
| Position (°2θ) | d [Å] | Rel. int. | index |
| --- | --- | --- | --- |
| 17.44 | 5.086 | 17 | 1 0 0 |
| 21.06 | 4.219 | 100 | 0 1 1 |
| 29.46 | 3.032 | 81 | 1 0 2 |
| 30.44 | 2.937 | 77 | 1 1 0 |
| 37.31 | 2.410 | 12 | 2 0 1 |
| 42.88 | 2.109 | 38 | 0 2 2 |
| 48.89 | 1.863 | 22 | 3 -2 1 |
| 53.49 | 1.713 | 33 | 2 1 2 |
| 54.09 | 1.695 | 16 | 3 0 0 |
| 58.09 | 1.588 | 19 | 1 1 4 |
| 63.34 | 1.468 | 13 | 2 2 0 |
| 71.38 | 1.321 | 14 | 4 -3 2 |

Cell and atoms:
```
data_BaNpOs2O8
_cell_length_a 5.8733
_cell_length_b 5.8733
_cell_length_c 7.5506
_cell_angle_alpha 90.00
_cell_angle_beta 90.00
_cell_angle_gamma 120.00
_space_group_name_H-M_alt 'P -3'
_space_group_IT_number 147
loop_
_space_group_symop_operation_xyz
'x,y,z'
'-x,-y,-z'
'-y,x-y,z'
'y,-x+y,-z'
'-x+y,-x,z'
'x-y,x,-z'
loop_
_atom_site_label
_atom_site_type_symbol
_atom_site_fract_x
_atom_site_fract_y
_atom_site_fract_z
Ba1 Ba 0.0000 0.0000 0.0000
Np1 Np 0.0000 0.0000 0.5000
Os1 Os 0.3333 0.6667 0.7838
O1 O 0.1617 0.3275 0.6858
O2 O 0.3333 0.6667 0.0213
```



No. 6
This entry pairs a crystal structure of BaNp2Pb2O7 with its theoretical powder diffractogram. Radiation: Cu Ka. Structure: the PBE geometry in Alexandria.

The 12 most intense peaks (10 to 80 degrees two-theta), in order of rising 2θ:
| Position (°2θ) | d [Å] | Rel. int. | index |
| --- | --- | --- | --- |
| 20.79 | 4.272 | 27 | 0 0 6 |
| 20.97 | 4.236 | 36 | 0 1 1 |
| 23.18 | 3.838 | 35 | 0 1 3 |
| 27.21 | 3.277 | 100 | 1 0 5 |
| 30.36 | 2.944 | 93 | 1 1 2 |
| 32.12 | 2.786 | 65 | 0 1 7 |
| 32.74 | 2.736 | 24 | 1 1 4 |
| 42.07 | 2.148 | 26 | 0 2 0 |
| 42.42 | 2.131 | 25 | 2 0 0 |
| 50.83 | 1.796 | 38 | 1 2 5 |
| 52.44 | 1.745 | 37 | 1 1 12 |
| 54.19 | 1.693 | 31 | 2 1 7 |

Cell and atoms:
```
data_BaNp2Pb2O7
_cell_length_a 4.2616
_cell_length_b 4.2955
_cell_length_c 25.6296
_cell_angle_alpha 90.00
_cell_angle_beta 90.00
_cell_angle_gamma 90.00
_space_group_name_H-M_alt 'I m m m'
_space_group_IT_number 71
_space_group_name_Hall '-I 2 2'
loop_
_atom_site_label
_atom_site_type_symbol
_atom_site_fract_x
_atom_site_fract_y
_atom_site_fract_z
Ba1 Ba 0.0000 0.0000 0.0000
Np1 Np 0.0000 0.0000 0.4135
Pb1 Pb 0.0000 0.5000 0.2166
O1 O 0.0000 0.0000 0.3331
O2 O 0.0000 0.0000 0.5000
O3 O 0.0000 0.5000 0.0782
O4 O 0.0000 0.5000 0.4235
```



No. 7
This entry pairs a crystal structure of Ba2PmNpO6 with its theoretical powder diffractogram. Radiation: Cu Ka. Structure: the PBE geometry in Alexandria.

The 12 most intense peaks (10 to 80 degrees two-theta), in order of rising 2θ:
| Position (°2θ) | d [Å] | Rel. int. | index |
| --- | --- | --- | --- |
| 17.24 | 5.143 | 5 | 0 1 1 |
| 19.93 | 4.454 | 7 | 1 0 1 |
| 28.34 | 3.149 | 100 | 2 0 0 |
| 40.51 | 2.227 | 28 | 0 4 0 |
| 50.12 | 1.820 | 21 | 0 4 2 |
| 50.22 | 1.817 | 21 | 2 4 0 |
| 58.49 | 1.578 | 3 | 0 0 4 |
| 58.65 | 1.574 | 15 | 4 0 0 |
| 66.32 | 1.409 | 9 | 3 2 3 |
| 66.42 | 1.408 | 9 | 1 6 1 |
| 73.59 | 1.287 | 3 | 0 4 4 |
| 73.78 | 1.284 | 3 | 4 4 0 |

Cell and atoms:
```
data_Ba2PmNpO6
_cell_length_a 6.2908
_cell_length_b 8.9007
_cell_length_c 6.3119
_cell_angle_alpha 90.00
_cell_angle_beta 90.00
_cell_angle_gamma 90.00
_space_group_name_H-M_alt 'P m m n'
_space_group_IT_number 59
loop_
_space_group_symop_operation_xyz
'x,y,z'
'-x,-y,-z'
'-x+1/2,-y+1/2,z'
'x+1/2,y+1/2,-z'
'x+1/2,-y,-z'
'-x+1/2,y,z'
'-x,y+1/2,-z'
'x,-y+1/2,z'
loop_
_atom_site_label
_atom_site_type_symbol
_atom_site_fract_x
_atom_site_fract_y
_atom_site_fract_z
Ba1 Ba 0.2500 0.0017 0.2363
Pm1 Pm 0.2500 0.2500 0.7425
Np1 Np 0.2500 0.7500 0.7545
O1 O 0.0072 0.7500 0.5177
O2 O 0.0111 0.7500 0.9962
O3 O 0.2500 0.5094 0.7670
```



No. 8
This entry pairs a crystal structure of Ba3PrNp2O9 with its theoretical powder diffractogram. Radiation: Cu Ka. Structure: the PBE geometry in Alexandria.

The 12 most intense peaks (10 to 80 degrees two-theta), in order of rising 2θ:
| Position (°2θ) | d [Å] | Rel. int. | index |
| --- | --- | --- | --- |
| 11.43 | 7.739 | 1 | 0 0 1 |
| 16.20 | 5.470 | 2 | 1 0 0 |
| 19.88 | 4.467 | 10 | 1 0 1 |
| 28.26 | 3.158 | 100 | 1 1 0 |
| 40.39 | 2.233 | 28 | 2 0 2 |
| 45.40 | 1.998 | 4 | 2 1 1 |
| 50.02 | 1.824 | 43 | 3 0 0 |
| 58.44 | 1.579 | 18 | 2 2 0 |
| 62.37 | 1.489 | 2 | 3 0 3 |
| 66.16 | 1.412 | 19 | 3 1 2 |
| 73.44 | 1.289 | 6 | 0 4 2 |
| 76.97 | 1.239 | 1 | 3 2 1 |

Cell and atoms:
```
data_Ba3PrNp2O9
_cell_length_a 6.3159
_cell_length_b 6.3159
_cell_length_c 7.7387
_cell_angle_alpha 90.00
_cell_angle_beta 90.00
_cell_angle_gamma 120.00
_space_group_name_H-M_alt 'P -3 m 1'
_space_group_IT_number 164
_space_group_name_Hall '-P 3 2"'
loop_
_atom_site_label
_atom_site_type_symbol
_atom_site_fract_x
_atom_site_fract_y
_atom_site_fract_z
Ba1 Ba 0.0000 0.0000 0.0000
Ba2 Ba 0.3333 0.6667 0.6631
Pr1 Pr 0.0000 0.0000 0.5000
Np1 Np 0.3333 0.6667 0.1616
O1 O 0.0000 0.5000 0.0000
O2 O 0.1740 0.3479 0.3224
```



No. 9
This entry pairs a crystal structure of BaPu2NpO8 with its theoretical powder diffractogram. Radiation: Cu Ka. Structure: the PBE geometry in Alexandria.

The 12 most intense peaks (10 to 80 degrees two-theta), in order of rising 2θ:
| Position (°2θ) | d [Å] | Rel. int. | index |
| --- | --- | --- | --- |
| 23.46 | 3.793 | 57 | 0 2 0 |
| 24.15 | 3.685 | 51 | 2 0 0 |
| 30.09 | 2.970 | 100 | 1 1 2 |
| 33.92 | 2.643 | 33 | 2 2 0 |
| 45.58 | 1.990 | 41 | 1 3 2 |
| 46.36 | 1.959 | 37 | 3 1 2 |
| 55.45 | 1.657 | 10 | 4 2 0 |
| 57.07 | 1.614 | 11 | 2 0 4 |
| 58.34 | 1.582 | 22 | 3 3 2 |
| 62.55 | 1.485 | 13 | 2 2 4 |
| 68.32 | 1.373 | 10 | 1 5 2 |
| 77.71 | 1.229 | 10 | 6 0 0 |

Cell and atoms:
```
data_BaPu2NpO8
_cell_length_a 7.3696
_cell_length_b 7.5854
_cell_length_c 7.1804
_cell_angle_alpha 90.00
_cell_angle_beta 90.00
_cell_angle_gamma 90.00
_space_group_name_H-M_alt 'C m m m'
_space_group_IT_number 65
_space_group_name_Hall '-C 2 2'
loop_
_atom_site_label
_atom_site_type_symbol
_atom_site_fract_x
_atom_site_fract_y
_atom_site_fract_z
Ba1 Ba 0.0000 0.0000 0.0000
Pu1 Pu 0.0000 0.5000 0.2554
Np1 Np 0.0000 0.0000 0.5000
O1 O 0.0000 0.3138 0.5000
O2 O 0.0000 0.3397 0.0000
O3 O 0.1945 0.0000 0.2997
```



No. 10
This entry pairs a crystal structure of Rb4BaNp3O12 with its theoretical powder diffractogram. Radiation: Cu Ka. Structure: the PBE geometry in Alexandria.

The 12 most intense peaks (10 to 80 degrees two-theta), in order of rising 2θ:
| Position (°2θ) | d [Å] | Rel. int. | index |
| --- | --- | --- | --- |
| 14.04 | 6.309 | 5 | 1 1 0 |
| 19.90 | 4.461 | 28 | 2 0 0 |
| 24.44 | 3.642 | 3 | 2 1 1 |
| 28.29 | 3.154 | 100 | 2 2 0 |
| 40.44 | 2.230 | 29 | 4 0 0 |
| 45.46 | 1.995 | 13 | 4 2 0 |
| 50.09 | 1.821 | 42 | 4 2 2 |
| 58.52 | 1.577 | 18 | 4 4 0 |
| 62.46 | 1.487 | 6 | 6 0 0 |
| 66.25 | 1.411 | 19 | 6 2 0 |
| 73.55 | 1.288 | 6 | 4 4 4 |
| 77.08 | 1.237 | 3 | 6 4 0 |

Cell and atoms:
```
data_Rb4BaNp3O12
_cell_length_a 8.9220
_cell_length_b 8.9220
_cell_length_c 8.9220
_cell_angle_alpha 90.00
_cell_angle_beta 90.00
_cell_angle_gamma 90.00
_space_group_name_H-M_alt 'I m -3 m'
_space_group_IT_number 229
_space_group_name_Hall '-I 4 2 3'
loop_
_atom_site_label
_atom_site_type_symbol
_atom_site_fract_x
_atom_site_fract_y
_atom_site_fract_z
Rb1 Rb 0.2500 0.2500 0.2500
Ba1 Ba 0.0000 0.0000 0.0000
Np1 Np 0.0000 0.0000 0.5000
O1 O 0.0000 0.0000 0.2864
O2 O 0.0000 0.2500 0.5000
```



No. 11
This entry pairs a crystal structure of BaNpS2O8 with its theoretical powder diffractogram. Radiation: Cu Ka. Structure: the PBE geometry in Alexandria.

The 12 most intense peaks (10 to 80 degrees two-theta), in order of rising 2θ:
| Position (°2θ) | d [Å] | Rel. int. | index |
| --- | --- | --- | --- |
| 16.89 | 5.249 | 100 | 1 0 0 |
| 20.89 | 4.253 | 26 | 1 0 1 |
| 29.48 | 3.030 | 44 | 1 1 0 |
| 29.94 | 2.984 | 62 | 1 0 2 |
| 34.16 | 2.624 | 11 | 2 0 0 |
| 38.72 | 2.326 | 27 | 1 1 2 |
| 42.52 | 2.126 | 31 | 2 0 2 |
| 45.73 | 1.984 | 14 | 2 1 0 |
| 52.58 | 1.741 | 28 | 2 1 2 |
| 53.45 | 1.714 | 12 | 0 1 4 |
| 69.59 | 1.351 | 12 | 1 3 2 |
| 70.33 | 1.339 | 11 | 1 2 4 |

Cell and atoms:
```
data_BaNpS2O8
_cell_length_a 6.0609
_cell_length_b 6.0609
_cell_length_c 7.2546
_cell_angle_alpha 90.00
_cell_angle_beta 90.00
_cell_angle_gamma 120.00
_space_group_name_H-M_alt 'P -3 m 1'
_space_group_IT_number 164
_space_group_name_Hall '-P 3 2"'
loop_
_atom_site_label
_atom_site_type_symbol
_atom_site_fract_x
_atom_site_fract_y
_atom_site_fract_z
Ba1 Ba 0.0000 0.0000 0.0000
Np1 Np 0.0000 0.0000 0.5000
S1 S 0.3333 0.6667 0.2921
O1 O 0.1552 0.3105 0.3202
O2 O 0.3333 0.6667 0.0895
```



No. 12
This entry pairs a crystal structure of BaNpSO2 with its theoretical powder diffractogram. Radiation: Cu Ka. Structure: the PBE geometry in Alexandria.

The 12 most intense peaks (10 to 80 degrees two-theta), in order of rising 2θ:
| Position (°2θ) | d [Å] | Rel. int. | index |
| --- | --- | --- | --- |
| 15.56 | 5.693 | 22 | 0 0 1 |
| 20.37 | 4.359 | 16 | 1 0 0 |
| 25.74 | 3.461 | 100 | 1 0 1 |
| 28.97 | 3.083 | 51 | 1 1 0 |
| 31.43 | 2.847 | 17 | 0 0 2 |
| 37.74 | 2.383 | 31 | 1 0 2 |
| 41.43 | 2.180 | 27 | 2 0 0 |
| 43.26 | 2.091 | 23 | 1 1 2 |
| 49.41 | 1.844 | 36 | 2 1 1 |
| 52.91 | 1.731 | 15 | 2 0 2 |
| 57.28 | 1.609 | 19 | 2 1 2 |
| 69.47 | 1.353 | 10 | 1 0 4 |

Cell and atoms:
```
data_BaNpSO2
_cell_length_a 4.3594
_cell_length_b 4.3594
_cell_length_c 5.6932
_cell_angle_alpha 90.00
_cell_angle_beta 90.00
_cell_angle_gamma 90.00
_space_group_name_H-M_alt 'P 4 m m'
_space_group_IT_number 99
loop_
_space_group_symop_operation_xyz
'x,y,z'
'-y,x,z'
'-x,-y,z'
'y,-x,z'
'-x,y,z'
'y,x,z'
'x,-y,z'
'-y,-x,z'
loop_
_atom_site_label
_atom_site_type_symbol
_atom_site_fract_x
_atom_site_fract_y
_atom_site_fract_z
Ba1 Ba 0.0000 0.0000 0.0000
Np1 Np 0.5000 0.5000 0.3839
S1 S 0.5000 0.5000 0.8685
O1 O 0.0000 0.5000 0.3297
```